Entry 1:
# CoF3
Theoretical powder diffractogram, Cu Kα (λ = 1.5418 Å). Input: a PBE+U-relaxed structure.

Structural model:
a = 5.4481 Å, b = 6.6506 Å, c = 6.6943 Å
α = 70.43°, β = 89.97°, γ = 89.51°
Space group P1 (No. 1)
Inequivalent atoms, fractional coordinates:
Co  0.0000  0.0000  0.0000
Co  0.0028  0.4998  0.5005
Co  0.4991  0.2470  0.2471
Co  0.5031  0.7499  0.7500
F  0.0027  0.2432  0.7592
F  0.0028  0.7583  0.2424
F  0.2413  0.6186  0.6184
F  0.2503  0.8639  0.8654
F  0.2515  0.1226  0.1231
F  0.2706  0.3724  0.3797
F  0.5024  0.9991  0.4961
F  0.5032  0.4957  0.9991
F  0.7416  0.6274  0.6259
F  0.7466  0.8777  0.8768
F  0.7510  0.1339  0.1261
F  0.7733  0.3783  0.3786

Largest 10 diffraction maxima, by angle, 10° ≤ 2θ ≤ 80°:
d = 3.864 Å, rel. 51
d = 3.845 Å, rel. 100
d = 2.728 Å, rel. 21
d = 1.932 Å, rel. 14
d = 1.923 Å, rel. 27
d = 1.726 Å, rel. 26
d = 1.721 Å, rel. 17
d = 1.713 Å, rel. 9
d = 1.363 Å, rel. 11
d = 1.288 Å, rel. 10

Entry 2:
# Li9Mn2Co5O16
Theoretical powder diffractogram, Cu Kα (λ = 1.5418 Å). Input: a PBE+U-relaxed structure.

Structural model:
a = 4.9845 Å, b = 5.9515 Å, c = 9.8410 Å
α = 88.79°, β = 79.05°, γ = 88.97°
Space group P1 (No. 1)
Inequivalent atoms, fractional coordinates:
Li  0.0000  0.0000  0.0000
Li  0.0013  0.5008  0.9995
Li  0.4988  0.5030  0.4860
Li  0.5025  0.9909  0.4895
Li  0.5055  0.7529  0.9932
Li  0.5065  0.2541  0.9957
Li  0.7511  0.7486  0.2435
Li  0.9944  0.2452  0.4927
Li  0.9971  0.7529  0.4967
Mn  0.2516  0.9993  0.2438
Mn  0.7509  0.4994  0.7434
Co  0.2486  0.5115  0.2446
Co  0.2507  0.2478  0.7438
Co  0.2512  0.7522  0.7445
Co  0.7505  0.0001  0.7452
Co  0.7508  0.2447  0.2437
O  0.1058  0.0026  0.6316
O  0.1132  0.5027  0.6274
O  0.1140  0.2414  0.1333
O  0.1521  0.7689  0.1294
O  0.3509  0.7611  0.3600
O  0.3863  0.2356  0.3551
O  0.3891  0.4981  0.8602
O  0.3957  0.9966  0.8570
O  0.6107  0.2239  0.6286
O  0.6111  0.7319  0.6254
O  0.6172  0.0227  0.1369
O  0.6175  0.4751  0.1372
O  0.8799  0.4697  0.3498
O  0.8860  0.0174  0.3525
O  0.8904  0.7735  0.8622
O  0.8916  0.2677  0.8601

Largest 10 diffraction maxima, by angle, 10° ≤ 2θ ≤ 80°:
d = 4.830 Å, rel. 100
d = 2.546 Å, rel. 16
d = 2.495 Å, rel. 13
d = 2.447 Å, rel. 12
d = 2.125 Å, rel. 30
d = 2.072 Å, rel. 27
d = 2.033 Å, rel. 25
d = 1.911 Å, rel. 9
d = 1.487 Å, rel. 8
d = 1.480 Å, rel. 8

Entry 3:
# LiVPO5
Theoretical powder diffractogram, Cu Kα (λ = 1.5418 Å). Input: a PBE+U-relaxed structure.

Structural model:
a = 7.6208 Å, b = 6.0291 Å, c = 7.8560 Å
α = 90.00°, β = 90.00°, γ = 90.00°
Space group Pnma (No. 62)
Inequivalent atoms, fractional coordinates:
Li  0.1355  0.2500  0.1649
V  0.0000  0.0000  0.5000
P  0.1349  0.7500  0.1639
O  0.0040  0.2500  0.9686
O  0.1110  0.7500  0.5864
O  0.1321  0.5402  0.2817
O  0.1729  0.2500  0.5773

Largest 10 diffraction maxima, by angle, 10° ≤ 2θ ≤ 80°:
d = 5.470 Å, rel. 100
d = 4.783 Å, rel. 44
d = 3.810 Å, rel. 30
d = 3.492 Å, rel. 23
d = 3.428 Å, rel. 39
d = 2.735 Å, rel. 38
d = 2.640 Å, rel. 65
d = 2.282 Å, rel. 27
d = 1.886 Å, rel. 24
d = 1.560 Å, rel. 31

Entry 4:
# CrP3O9
Theoretical powder diffractogram, Cu Kα (λ = 1.5418 Å). Input: a PBE+U-relaxed structure.

Structural model:
a = 6.3252 Å, b = 15.4899 Å, c = 8.4485 Å
α = 90.00°, β = 105.97°, γ = 90.00°
Space group P2_1/c (No. 14)
Inequivalent atoms, fractional coordinates:
Cr  0.1185  0.1368  0.3754
P  0.1508  0.0441  0.7218
P  0.2077  0.1609  0.0158
P  0.4124  0.6126  0.2093
O  0.0520  0.0109  0.3371
O  0.0675  0.1532  0.1325
O  0.1637  0.0747  0.9050
O  0.1739  0.1210  0.6197
O  0.1843  0.2373  0.9053
O  0.1988  0.6595  0.1458
O  0.3701  0.5141  0.2552
O  0.4358  0.1122  0.3992
O  0.4654  0.1517  0.1123

Largest 10 diffraction maxima, by angle, 10° ≤ 2θ ≤ 80°:
d = 6.081 Å, rel. 27
d = 5.660 Å, rel. 99
d = 5.605 Å, rel. 100
d = 5.328 Å, rel. 36
d = 3.932 Å, rel. 27
d = 3.872 Å, rel. 37
d = 3.791 Å, rel. 21
d = 3.597 Å, rel. 22
d = 2.984 Å, rel. 28
d = 2.667 Å, rel. 17